1.
Mn3P4O14: computed powder diffraction line list (Cu Kα X-rays), based on a DFT-relaxed cell (PBE+U, the Materials Project).
Neutral-atom scattering factors, no anomalous dispersion.

Structure:
```
data_Mn3P4O14
_space_group_name_H-M_alt 'P 1'
_space_group_IT_number 1
_cell_length_a 5.3353
_cell_length_b 6.4956
_cell_length_c 16.2595
_cell_angle_alpha 93.02
_cell_angle_beta 99.18
_cell_angle_gamma 107.43
loop_
_space_group_symop_operation_xyz
'x,y,z'
loop_
_atom_site_label
_atom_site_type_symbol
_atom_site_fract_x
_atom_site_fract_y
_atom_site_fract_z
Mn1 Mn 0.0763 0.0248 0.3208
Mn2 Mn 0.2572 0.7126 0.5855
Mn3 Mn 0.3769 0.3923 0.8270
Mn4 Mn 0.6231 0.6077 0.1730
Mn5 Mn 0.7428 0.2874 0.4145
Mn6 Mn 0.9237 0.9752 0.6792
P1 P 0.1307 0.7710 0.0781
P2 P 0.2088 0.5648 0.3152
P3 P 0.3237 0.2186 0.5419
P4 P 0.4584 0.8998 0.7910
P5 P 0.5416 0.1002 0.2090
P6 P 0.6763 0.7814 0.4581
P7 P 0.7912 0.4352 0.6848
P8 P 0.8693 0.2290 0.9219
O1 O 0.0257 0.6994 0.2868
O2 O 0.0410 0.3403 0.3353
O3 O 0.1416 0.8594 0.9939
O4 O 0.1602 0.3268 0.9104
O5 O 0.1790 0.3887 0.5414
O6 O 0.1814 0.0206 0.5841
O7 O 0.2578 0.9710 0.1532
O8 O 0.2758 0.0467 0.7848
O9 O 0.2941 0.6155 0.0921
O10 O 0.3369 0.6894 0.8268
O11 O 0.3754 0.6831 0.4056
O12 O 0.3777 0.1572 0.4556
O13 O 0.4063 0.5459 0.2607
O14 O 0.4648 0.1364 0.2959
O15 O 0.5352 0.8636 0.7041
O16 O 0.5937 0.4541 0.7393
O17 O 0.6223 0.8428 0.5444
O18 O 0.6246 0.3169 0.5944
O19 O 0.6631 0.3106 0.1732
O20 O 0.7059 0.3845 0.9079
O21 O 0.7242 0.9533 0.2152
O22 O 0.7422 0.0290 0.8468
O23 O 0.8186 0.9794 0.4159
O24 O 0.8210 0.6113 0.4586
O25 O 0.8398 0.6732 0.0896
O26 O 0.8584 0.1406 0.0061
O27 O 0.9590 0.6597 0.6647
O28 O 0.9743 0.3006 0.7132
```

Peak list (8 most intense, 2θ = 10–90°, by angle)
2θ = 11.09°, d = 7.980 Å, I = 39
2θ = 17.22°, d = 5.150 Å, I = 43
2θ = 25.87°, d = 3.444 Å, I = 65
2θ = 26.60°, d = 3.351 Å, I = 83
2θ = 28.92°, d = 3.087 Å, I = 30
2θ = 29.48°, d = 3.030 Å, I = 100
2θ = 30.32°, d = 2.948 Å, I = 38
2θ = 31.13°, d = 2.873 Å, I = 69

2.
MnPO4: computed powder diffraction line list (Cu Kα X-rays), based on a DFT-relaxed cell (PBE+U, the Materials Project).
Neutral-atom scattering factors, no anomalous dispersion.

Structure:
```
data_MnPO4
_space_group_name_H-M_alt 'P 1'
_space_group_IT_number 1
_cell_length_a 4.7286
_cell_length_b 4.7286
_cell_length_c 6.5714
_cell_angle_alpha 90.00
_cell_angle_beta 90.00
_cell_angle_gamma 111.65
loop_
_space_group_symop_operation_xyz
'x,y,z'
loop_
_atom_site_label
_atom_site_type_symbol
_atom_site_fract_x
_atom_site_fract_y
_atom_site_fract_z
Mn1 Mn 0.0004 0.0004 0.0000
Mn2 Mn 0.9996 0.9996 0.5000
P1 P 0.3454 0.6546 0.7500
P2 P 0.6546 0.3454 0.2500
O1 O 0.2205 0.2980 0.7501
O2 O 0.2373 0.7624 0.5545
O3 O 0.2376 0.7627 0.9455
O4 O 0.2980 0.2205 0.2499
O5 O 0.7020 0.7795 0.7499
O6 O 0.7624 0.2373 0.4455
O7 O 0.7627 0.2376 0.0545
O8 O 0.7795 0.7020 0.2501
```

Peak list (8 most intense, 2θ = 10–90°, by angle)
2θ = 20.20°, d = 4.395 Å, I = 49
2θ = 24.36°, d = 3.653 Å, I = 61
2θ = 26.52°, d = 3.362 Å, I = 32
2θ = 33.74°, d = 2.656 Å, I = 32
2θ = 34.07°, d = 2.632 Å, I = 100
2θ = 38.45°, d = 2.341 Å, I = 35
2θ = 43.83°, d = 2.066 Å, I = 26
2θ = 65.75°, d = 1.420 Å, I = 27

3.
Mn7P2O16: computed powder diffraction line list (Cu Kα X-rays), based on a DFT-relaxed cell (PBE+U, the Materials Project).
Neutral-atom scattering factors, no anomalous dispersion.

Structure:
```
data_Mn7P2O16
_space_group_name_H-M_alt 'P 1'
_space_group_IT_number 1
_cell_length_a 11.2437
_cell_length_b 5.2418
_cell_length_c 10.3266
_cell_angle_alpha 90.00
_cell_angle_beta 90.27
_cell_angle_gamma 90.00
loop_
_space_group_symop_operation_xyz
'x,y,z'
loop_
_atom_site_label
_atom_site_type_symbol
_atom_site_fract_x
_atom_site_fract_y
_atom_site_fract_z
Mn1 Mn 0.0000 0.0000 0.0000
Mn2 Mn 0.0000 0.5000 0.5000
Mn3 Mn 0.0444 0.0330 0.3573
Mn4 Mn 0.0444 0.4670 0.8573
Mn5 Mn 0.2203 0.0448 0.1262
Mn6 Mn 0.2203 0.4552 0.6262
Mn7 Mn 0.4436 0.0330 0.6663
Mn8 Mn 0.4436 0.4670 0.1663
Mn9 Mn 0.5564 0.5330 0.8337
Mn10 Mn 0.5564 0.9670 0.3337
Mn11 Mn 0.7797 0.5448 0.3738
Mn12 Mn 0.7797 0.9552 0.8738
Mn13 Mn 0.9556 0.5330 0.1427
Mn14 Mn 0.9556 0.9670 0.6427
P1 P 0.2931 0.7077 0.8647
P2 P 0.2931 0.7923 0.3647
P3 P 0.7069 0.2077 0.6353
P4 P 0.7069 0.2923 0.1353
O1 O 0.0466 0.6165 0.6729
O2 O 0.0466 0.8835 0.1729
O3 O 0.0760 0.1876 0.5401
O4 O 0.0760 0.3124 0.0401
O5 O 0.2036 0.6618 0.4579
O6 O 0.2036 0.8382 0.9579
O7 O 0.2302 0.0513 0.3208
O8 O 0.2302 0.4487 0.8208
O9 O 0.3024 0.6452 0.2333
O10 O 0.3024 0.8548 0.7333
O11 O 0.3481 0.2316 0.0796
O12 O 0.3481 0.2684 0.5796
O13 O 0.4142 0.6625 0.9309
O14 O 0.4142 0.8375 0.4309
O15 O 0.4746 0.2219 0.8089
O16 O 0.4746 0.2781 0.3089
O17 O 0.5254 0.7219 0.6911
O18 O 0.5254 0.7781 0.1911
O19 O 0.5858 0.1625 0.5691
O20 O 0.5858 0.3375 0.0691
O21 O 0.6519 0.7316 0.4204
O22 O 0.6519 0.7684 0.9204
O23 O 0.6976 0.1452 0.2667
O24 O 0.6976 0.3548 0.7667
O25 O 0.7698 0.5513 0.1792
O26 O 0.7698 0.9487 0.6792
O27 O 0.7964 0.1618 0.0421
O28 O 0.7964 0.3382 0.5421
O29 O 0.9240 0.6876 0.9599
O30 O 0.9240 0.8124 0.4599
O31 O 0.9534 0.1165 0.8271
O32 O 0.9534 0.3835 0.3271
```

Peak list (8 most intense, 2θ = 10–90°, by angle)
2θ = 18.89°, d = 4.697 Å, I = 37
2θ = 20.56°, d = 4.319 Å, I = 66
2θ = 24.80°, d = 3.590 Å, I = 100
2θ = 31.08°, d = 2.877 Å, I = 34
2θ = 31.84°, d = 2.811 Å, I = 27
2θ = 35.11°, d = 2.556 Å, I = 35
2θ = 38.91°, d = 2.315 Å, I = 25
2θ = 52.59°, d = 1.740 Å, I = 28

4.
MnPO4: computed powder diffraction line list (Cu Kα X-rays), based on a DFT-relaxed cell (PBE+U, the Materials Project).
Neutral-atom scattering factors, no anomalous dispersion.

Structure:
```
data_MnPO4
_space_group_name_H-M_alt 'P 1'
_space_group_IT_number 1
_cell_length_a 8.4729
_cell_length_b 5.4411
_cell_length_c 8.6360
_cell_angle_alpha 90.00
_cell_angle_beta 104.37
_cell_angle_gamma 90.00
loop_
_space_group_symop_operation_xyz
'x,y,z'
loop_
_atom_site_label
_atom_site_type_symbol
_atom_site_fract_x
_atom_site_fract_y
_atom_site_fract_z
Mn1 Mn 0.0000 0.1808 0.0000
Mn2 Mn 0.0000 0.8192 0.5000
Mn3 Mn 0.4739 0.3096 0.6630
Mn4 Mn 0.4739 0.6904 0.1630
P1 P 0.1253 0.3224 0.3665
P2 P 0.1253 0.6776 0.8665
P3 P 0.6153 0.1993 0.0489
P4 P 0.6153 0.8007 0.5489
O1 O 0.0737 0.4031 0.8618
O2 O 0.0737 0.5969 0.3618
O3 O 0.1493 0.2677 0.1965
O4 O 0.1493 0.7323 0.6965
O5 O 0.2896 0.2754 0.4863
O6 O 0.2896 0.7246 0.9863
O7 O 0.4968 0.2446 0.8820
O8 O 0.4968 0.7554 0.3820
O9 O 0.5588 0.3605 0.1722
O10 O 0.5588 0.6395 0.6722
O11 O 0.6120 0.0704 0.6018
O12 O 0.6120 0.9296 0.1018
O13 O 0.7905 0.2566 0.0403
O14 O 0.7905 0.7434 0.5403
O15 O 0.9957 0.1512 0.4070
O16 O 0.9957 0.8488 0.9070
```

Peak list (8 most intense, 2θ = 10–90°, by angle)
2θ = 19.46°, d = 4.561 Å, I = 15
2θ = 20.96°, d = 4.238 Å, I = 100
2θ = 21.28°, d = 4.176 Å, I = 35
2θ = 21.65°, d = 4.104 Å, I = 68
2θ = 26.20°, d = 3.401 Å, I = 54
2θ = 27.19°, d = 3.279 Å, I = 40
2θ = 31.17°, d = 2.870 Å, I = 21
2θ = 32.92°, d = 2.721 Å, I = 27

5.
MnP4O12: computed powder diffraction line list (Cu Kα X-rays), based on a DFT-relaxed cell (PBE+U, the Materials Project).
Neutral-atom scattering factors, no anomalous dispersion.

Structure:
```
data_MnP4O12
_space_group_name_H-M_alt 'P 1'
_space_group_IT_number 1
_cell_length_a 7.1323
_cell_length_b 8.7740
_cell_length_c 8.4516
_cell_angle_alpha 90.00
_cell_angle_beta 122.65
_cell_angle_gamma 90.00
loop_
_space_group_symop_operation_xyz
'x,y,z'
loop_
_atom_site_label
_atom_site_type_symbol
_atom_site_fract_x
_atom_site_fract_y
_atom_site_fract_z
Mn1 Mn 0.0000 0.0000 0.0000
Mn2 Mn 0.0000 0.5000 0.5000
P1 P 0.2230 0.2094 0.3825
P2 P 0.2230 0.2906 0.8825
P3 P 0.4663 0.0709 0.7734
P4 P 0.4663 0.4291 0.2734
P5 P 0.5337 0.5709 0.7266
P6 P 0.5337 0.9291 0.2266
P7 P 0.7770 0.7094 0.1175
P8 P 0.7770 0.7906 0.6175
O1 O 0.0680 0.0979 0.2296
O2 O 0.0680 0.4021 0.7296
O3 O 0.1038 0.1760 0.9294
O4 O 0.1038 0.3240 0.4294
O5 O 0.2819 0.5942 0.6179
O6 O 0.2819 0.9058 0.1179
O7 O 0.3656 0.5713 0.2838
O8 O 0.3656 0.9287 0.7838
O9 O 0.3808 0.2216 0.8244
O10 O 0.3808 0.2784 0.3244
O11 O 0.3907 0.1111 0.5596
O12 O 0.3907 0.3889 0.0596
O13 O 0.6093 0.6111 0.9404
O14 O 0.6093 0.8889 0.4404
O15 O 0.6192 0.7216 0.6756
O16 O 0.6192 0.7784 0.1756
O17 O 0.6344 0.0713 0.2162
O18 O 0.6344 0.4287 0.7162
O19 O 0.7181 0.0942 0.8821
O20 O 0.7181 0.4058 0.3821
O21 O 0.8962 0.6760 0.5706
O22 O 0.8962 0.8240 0.0706
O23 O 0.9320 0.5979 0.2704
O24 O 0.9320 0.9021 0.7704
```

Peak list (8 most intense, 2θ = 10–90°, by angle)
2θ = 16.04°, d = 5.527 Å, I = 72
2θ = 16.64°, d = 5.329 Å, I = 42
2θ = 17.90°, d = 4.956 Å, I = 100
2θ = 24.24°, d = 3.671 Å, I = 68
2θ = 27.04°, d = 3.297 Å, I = 42
2θ = 27.22°, d = 3.276 Å, I = 60
2θ = 29.38°, d = 3.040 Å, I = 64
2θ = 33.86°, d = 2.647 Å, I = 31

6.
Mn2P3O12: computed powder diffraction line list (Cu Kα X-rays), based on a DFT-relaxed cell (PBE+U, the Materials Project).
Neutral-atom scattering factors, no anomalous dispersion.

Structure:
```
data_Mn2P3O12
_space_group_name_H-M_alt 'P 1'
_space_group_IT_number 1
_cell_length_a 8.7852
_cell_length_b 8.7852
_cell_length_c 8.7852
_cell_angle_alpha 55.34
_cell_angle_beta 55.34
_cell_angle_gamma 55.34
loop_
_space_group_symop_operation_xyz
'x,y,z'
loop_
_atom_site_label
_atom_site_type_symbol
_atom_site_fract_x
_atom_site_fract_y
_atom_site_fract_z
Mn1 Mn 0.1429 0.1429 0.1429
Mn2 Mn 0.3498 0.3498 0.3498
Mn3 Mn 0.6502 0.6502 0.6502
Mn4 Mn 0.8571 0.8571 0.8571
P1 P 0.0366 0.4614 0.7492
P2 P 0.2508 0.9634 0.5386
P3 P 0.4614 0.7492 0.0366
P4 P 0.5386 0.2508 0.9634
P5 P 0.7492 0.0366 0.4614
P6 P 0.9634 0.5386 0.2508
O1 O 0.0089 0.6190 0.7997
O2 O 0.1143 0.8688 0.7467
O3 O 0.1312 0.2533 0.8857
O4 O 0.1671 0.5252 0.2108
O5 O 0.1771 0.4917 0.5309
O6 O 0.2003 0.9911 0.3810
O7 O 0.2108 0.1671 0.5252
O8 O 0.2533 0.8857 0.1312
O9 O 0.3810 0.2003 0.9911
O10 O 0.4691 0.8229 0.5083
O11 O 0.4748 0.7892 0.8329
O12 O 0.4917 0.5309 0.1771
O13 O 0.5083 0.4691 0.8229
O14 O 0.5252 0.2108 0.1671
O15 O 0.5309 0.1771 0.4917
O16 O 0.6190 0.7997 0.0089
O17 O 0.7467 0.1143 0.8688
O18 O 0.7892 0.8329 0.4748
O19 O 0.7997 0.0089 0.6190
O20 O 0.8229 0.5083 0.4691
O21 O 0.8329 0.4748 0.7892
O22 O 0.8688 0.7467 0.1143
O23 O 0.8857 0.1312 0.2533
O24 O 0.9911 0.3810 0.2003
```

Peak list (8 most intense, 2θ = 10–90°, by angle)
2θ = 14.85°, d = 5.964 Å, I = 68
2θ = 20.32°, d = 4.370 Å, I = 73
2θ = 21.78°, d = 4.080 Å, I = 25
2θ = 24.91°, d = 3.574 Å, I = 100
2θ = 29.96°, d = 2.982 Å, I = 51
2θ = 32.64°, d = 2.744 Å, I = 56
2θ = 53.62°, d = 1.709 Å, I = 18
2θ = 63.23°, d = 1.471 Å, I = 15

7.
MnP4O12: computed powder diffraction line list (Cu Kα X-rays), based on a DFT-relaxed cell (PBE+U, the Materials Project).
Neutral-atom scattering factors, no anomalous dispersion.

Structure:
```
data_MnP4O12
_space_group_name_H-M_alt 'P 1'
_space_group_IT_number 1
_cell_length_a 8.2742
_cell_length_b 8.2742
_cell_length_c 7.6732
_cell_angle_alpha 98.12
_cell_angle_beta 98.12
_cell_angle_gamma 107.97
loop_
_space_group_symop_operation_xyz
'x,y,z'
loop_
_atom_site_label
_atom_site_type_symbol
_atom_site_fract_x
_atom_site_fract_y
_atom_site_fract_z
Mn1 Mn 0.1317 0.8683 0.7500
Mn2 Mn 0.8683 0.1317 0.2500
P1 P 0.0396 0.2054 0.6690
P2 P 0.2054 0.0396 0.1690
P3 P 0.2514 0.5758 0.8800
P4 P 0.4242 0.7486 0.6200
P5 P 0.5758 0.2514 0.3800
P6 P 0.7486 0.4242 0.1200
P7 P 0.7946 0.9604 0.8310
P8 P 0.9604 0.7946 0.3310
O1 O 0.0059 0.7419 0.5082
O2 O 0.0782 0.1385 0.1644
O3 O 0.1118 0.6560 0.8134
O4 O 0.1309 0.8691 0.2500
O5 O 0.1385 0.0782 0.6644
O6 O 0.1486 0.3695 0.8142
O7 O 0.2581 0.9941 0.9918
O8 O 0.3302 0.6136 0.0699
O9 O 0.3440 0.8882 0.6866
O10 O 0.3695 0.1486 0.3142
O11 O 0.3864 0.6698 0.4301
O12 O 0.3900 0.6100 0.7500
O13 O 0.6100 0.3900 0.2500
O14 O 0.6136 0.3302 0.5699
O15 O 0.6305 0.8514 0.6858
O16 O 0.6560 0.1118 0.3134
O17 O 0.6698 0.3864 0.9301
O18 O 0.7419 0.0059 0.0082
O19 O 0.8514 0.6305 0.1858
O20 O 0.8615 0.9218 0.3356
O21 O 0.8691 0.1309 0.7500
O22 O 0.8882 0.3440 0.1866
O23 O 0.9218 0.8615 0.8356
O24 O 0.9941 0.2581 0.4918
```

Peak list (8 most intense, 2θ = 10–90°, by angle)
2θ = 11.47°, d = 7.717 Å, I = 94
2θ = 14.82°, d = 5.978 Å, I = 31
2θ = 17.82°, d = 4.978 Å, I = 27
2θ = 18.10°, d = 4.900 Å, I = 48
2θ = 18.79°, d = 4.723 Å, I = 51
2θ = 23.82°, d = 3.735 Å, I = 100
2θ = 26.65°, d = 3.345 Å, I = 61
2θ = 34.06°, d = 2.632 Å, I = 28